(1)
Diffraction record for BiRuN. The X-ray diffraction stick pattern is simulated, not measured: it uses DFT lattice parameters and positions (PBE) and Cu Kα, 1.54184 Å.
No peak broadening, texture or thermal motion is included.

Top 8 peaks for 15° ≤ 2θ ≤ 90°, in order of rising 2θ:
2θ (°), I/Imax, (hkl)
28.57, 52, 2 0 -2
29.20, 100, 1 1 0
29.68, 64, 2 0 2
31.71, 41, 1 1 1
33.89, 86, 4 0 0
37.69, 63, 1 1 -2
38.00, 67, 3 1 0
46.57, 60, 1 1 -3

Cell and atoms:
a = 10.5891 Å, b = 3.1948 Å, c = 7.5288 Å
α = 90.00°, β = 92.28°, γ = 90.00°
Space group C2/m (No. 12)
Unique sites:
Bi 0.1281 0.0000 0.3633 x4
Ru 0.1366 0.0000 0.7478 x4
N 0.1236 0.5000 0.8631 x4

(2)
Diffraction record for TlBiRuN. The X-ray diffraction stick pattern is simulated, not measured: it uses DFT lattice parameters and positions (PBE) and Cu Kα, 1.54184 Å.
No peak broadening, texture or thermal motion is included.

Top 8 peaks for 15° ≤ 2θ ≤ 90°, in order of rising 2θ:
2θ (°), I/Imax, (hkl)
28.42, 78, 1 0 1
28.68, 77, 1 0 -2
29.97, 100, 0 1 1
35.63, 75, 1 1 0
37.28, 29, 0 0 3
44.11, 26, 2 0 -1
47.28, 39, 1 1 2
47.56, 38, 1 1 -3

Cell and atoms:
a = 4.1062 Å, b = 3.2724 Å, c = 7.5036 Å
α = 90.00°, β = 105.36°, γ = 90.00°
Space group Pm (No. 6)
Unique sites:
Tl 0.0000 0.0000 0.0000 x1
Bi 0.6772 0.5000 0.3771 x1
Ru 0.3009 0.5000 0.6293 x1
N 0.3904 0.0000 0.7455 x1

(3)
Diffraction record for Sm4BiS2N. The X-ray diffraction stick pattern is simulated, not measured: it uses DFT lattice parameters and positions (PBE) and Cu Kα, 1.54184 Å.
No peak broadening, texture or thermal motion is included.

Top 8 peaks for 15° ≤ 2θ ≤ 90°, in order of rising 2θ:
2θ (°), I/Imax, (hkl)
17.32, 28, 1 1 0
27.87, 82, 1 1 2
29.65, 100, 2 1 1
35.07, 58, 2 2 0
38.89, 31, 3 0 1
45.36, 28, 3 1 2
53.34, 26, 4 1 1
56.88, 32, 3 2 3

Cell and atoms:
a = 7.2425 Å, b = 7.2425 Å, c = 8.2008 Å
α = 90.00°, β = 90.00°, γ = 90.00°
Space group I-42m (No. 121)
Unique sites:
Sm 0.1849 0.1849 0.1606 x8
Bi 0.0000 0.0000 0.5000 x2
S 0.0000 0.5000 0.2500 x4
N 0.0000 0.0000 0.0000 x2

(4)
Diffraction record for Sc5Bi2N. The X-ray diffraction stick pattern is simulated, not measured: it uses DFT lattice parameters and positions (PBE) and Cu Kα, 1.54184 Å.
No peak broadening, texture or thermal motion is included.

Top 8 peaks for 15° ≤ 2θ ≤ 90°, in order of rising 2θ:
2θ (°), I/Imax, (hkl)
21.57, 100, 1 1 0
24.29, 38, 0 2 3
28.04, 30, 1 3 1
28.62, 33, 0 0 4
34.76, 72, 0 6 0
35.82, 54, 1 5 0
36.12, 60, 1 1 4
46.47, 37, 1 5 4

Cell and atoms:
a = 4.2744 Å, b = 15.4774 Å, c = 12.4777 Å
α = 90.00°, β = 90.00°, γ = 90.00°
Space group Cmcm (No. 63)
Unique sites:
Sc 0.0000 0.1068 0.1265 x8
Sc 0.0000 0.2656 0.7500 x4
Sc 0.0000 0.2948 0.0716 x8
Bi 0.0000 0.0856 0.6192 x8
N 0.0000 0.2059 0.2500 x4

(5)
Diffraction record for Sc5Bi3N. The X-ray diffraction stick pattern is simulated, not measured: it uses DFT lattice parameters and positions (PBE) and Cu Kα, 1.54184 Å.
No peak broadening, texture or thermal motion is included.

Top 8 peaks for 15° ≤ 2θ ≤ 90°, in order of rising 2θ:
2θ (°), I/Imax, (hkl)
23.68, 28, 2 0 0
25.35, 100, 1 1 1
29.84, 32, 0 0 2
34.97, 81, 2 1 1
35.85, 26, 3 0 0
36.47, 40, 1 1 2
38.45, 26, 2 0 2
46.12, 41, 3 1 1

Cell and atoms:
a = 8.6759 Å, b = 8.6759 Å, c = 5.9875 Å
α = 90.00°, β = 90.00°, γ = 120.00°
Space group P6_3/mcm (No. 193)
Unique sites:
Sc 0.0000 0.2015 0.2500 x6
Sc 0.3333 0.6667 0.0000 x4
Bi 0.0000 0.3982 0.7500 x6
N 0.0000 0.0000 0.0000 x2

(6)
Diffraction record for Bi4Se2N. The X-ray diffraction stick pattern is simulated, not measured: it uses DFT lattice parameters and positions (PBE) and Cu Kα, 1.54184 Å.
No peak broadening, texture or thermal motion is included.

Top 8 peaks for 15° ≤ 2θ ≤ 90°, in order of rising 2θ:
2θ (°), I/Imax, (hkl)
18.43, 55, 0 0 4
27.95, 100, 1 1 2
37.59, 39, 2 0 0
38.66, 62, 1 1 6
42.17, 28, 2 0 4
54.03, 24, 2 0 8
62.08, 23, 3 1 2
68.55, 24, 3 1 6

Cell and atoms:
a = 4.7860 Å, b = 4.7860 Å, c = 19.2582 Å
α = 90.00°, β = 90.00°, γ = 90.00°
Space group I4/mmm (No. 139)
Unique sites:
Bi 0.0000 0.0000 0.2496 x4
Bi 0.0000 0.5000 0.0000 x4
Se 0.0000 0.0000 0.1044 x4
N 0.0000 0.0000 0.5000 x2

(7)
Diffraction record for SiBiN2. The X-ray diffraction stick pattern is simulated, not measured: it uses DFT lattice parameters and positions (PBE) and Cu Kα, 1.54184 Å.
No peak broadening, texture or thermal motion is included.

Top 8 peaks for 15° ≤ 2θ ≤ 90°, in order of rising 2θ:
2θ (°), I/Imax, (hkl)
20.21, 71, 1 0 1
32.58, 100, 1 1 2
34.69, 38, 2 0 0
36.73, 24, 1 0 3
40.48, 38, 2 1 1
49.88, 15, 2 2 0
56.75, 23, 2 0 4
60.85, 34, 3 1 2

Cell and atoms:
a = 5.1712 Å, b = 5.1712 Å, c = 8.3332 Å
α = 90.00°, β = 90.00°, γ = 90.00°
Space group I-42d (No. 122)
Unique sites:
Si 0.0000 0.0000 0.0000 x4
Bi 0.0000 0.0000 0.5000 x4
N 0.1102 0.2500 0.1250 x8

(8)
Diffraction record for Sm5Bi2N2. The X-ray diffraction stick pattern is simulated, not measured: it uses DFT lattice parameters and positions (PBE) and Cu Kα, 1.54184 Å.
No peak broadening, texture or thermal motion is included.

Top 8 peaks for 15° ≤ 2θ ≤ 90°, in order of rising 2θ:
2θ (°), I/Imax, (hkl)
27.68, 45, 4 0 -1
27.93, 20, 4 0 0
29.71, 97, 1 1 -2
32.11, 100, 3 1 1
33.40, 23, 3 1 -2
35.51, 49, 0 2 0
45.61, 24, 4 2 -1
61.66, 21, 3 3 1

Cell and atoms:
a = 13.1581 Å, b = 5.0556 Å, c = 7.4889 Å
α = 90.00°, β = 103.89°, γ = 90.00°
Space group C2/m (No. 12)
Unique sites:
Sm 0.0000 0.0000 0.0000 x2
Sm 0.1537 0.0000 0.5906 x4
Sm 0.1670 0.5000 0.9284 x4
Bi 0.0867 0.5000 0.3108 x4
N 0.1629 0.0000 0.8941 x4

(9)
Diffraction record for SmBiN. The X-ray diffraction stick pattern is simulated, not measured: it uses DFT lattice parameters and positions (PBE) and Cu Kα, 1.54184 Å.
No peak broadening, texture or thermal motion is included.

Top 8 peaks for 15° ≤ 2θ ≤ 90°, in order of rising 2θ:
2θ (°), I/Imax, (hkl)
29.63, 61, 1 1 0
30.59, 100, 1 0 2
42.39, 27, 2 0 0
50.26, 12, 1 0 4
53.18, 43, 2 1 2
54.97, 11, 1 1 4
69.74, 11, 3 1 0
85.62, 12, 3 2 2

Cell and atoms:
a = 4.2642 Å, b = 4.2642 Å, c = 8.0248 Å
α = 90.00°, β = 90.00°, γ = 90.00°
Space group P4/nmm (No. 129, origin choice 2)
Unique sites:
Sm 0.2500 0.2500 0.1186 x2
Bi 0.2500 0.2500 0.5784 x2
N 0.2500 0.7500 0.0000 x2

(10)
Diffraction record for Sr4BiN. The X-ray diffraction stick pattern is simulated, not measured: it uses DFT lattice parameters and positions (PBE) and Cu Kα, 1.54184 Å.
No peak broadening, texture or thermal motion is included.

Top 8 peaks for 15° ≤ 2θ ≤ 90°, in order of rising 2θ:
2θ (°), I/Imax, (hkl)
26.01, 74, 2 2 0
27.50, 79, 2 0 -2
27.98, 88, 4 0 1
28.78, 61, 6 0 -1
31.33, 74, 2 2 1
31.78, 100, 4 2 -1
37.95, 58, 0 2 2
47.32, 40, 8 2 0

Cell and atoms:
a = 18.9175 Å, b = 7.4114 Å, c = 6.4944 Å
α = 90.00°, β = 108.19°, γ = 90.00°
Space group C2/m (No. 12)
Unique sites:
Sr 0.0000 0.2258 0.0000 x4
Sr 0.1194 0.2337 0.5448 x8
Sr 0.1949 0.0000 0.1565 x4
Bi 0.1968 0.5000 0.2148 x4
N 0.0823 0.0000 0.2644 x4

(11)
Diffraction record for Sr9Bi3N2. The X-ray diffraction stick pattern is simulated, not measured: it uses DFT lattice parameters and positions (PBE) and Cu Kα, 1.54184 Å.
No peak broadening, texture or thermal motion is included.

Top 8 peaks for 15° ≤ 2θ ≤ 90°, in order of rising 2θ:
2θ (°), I/Imax, (hkl)
16.63, 14, 0 1 1
23.60, 19, 1 0 2
29.01, 100, 2 0 1
33.62, 55, 0 2 2
48.28, 39, 2 2 0
57.31, 44, 0 4 1
78.14, 18, 4 2 1
80.58, 18, 2 4 2

Cell and atoms:
a = 7.5397 Å, b = 7.5397 Å, c = 9.2358 Å
α = 90.00°, β = 90.00°, γ = 120.00°
Space group P-3m1 (No. 164)
Unique sites:
Sr 0.0000 0.5000 0.0000 x3
Sr 0.1733 0.3466 0.6762 x6
Bi 0.0000 0.0000 0.0000 x1
Bi 0.3333 0.6667 0.3331 x2
N 0.3333 0.6667 0.8305 x2

(12)
Diffraction record for SrYBi2N. The X-ray diffraction stick pattern is simulated, not measured: it uses DFT lattice parameters and positions (PBE) and Cu Kα, 1.54184 Å.
No peak broadening, texture or thermal motion is included.

Top 8 peaks for 15° ≤ 2θ ≤ 90°, in order of rising 2θ:
2θ (°), I/Imax, (hkl)
22.83, 14, 1 1 0
30.29, 100, 1 1 1
32.50, 46, 2 0 0
39.89, 13, 0 0 2
46.63, 17, 2 2 0
52.37, 24, 2 0 2
56.61, 35, 3 1 1
63.00, 14, 2 2 2

Cell and atoms:
a = 5.5098 Å, b = 5.5098 Å, c = 4.5196 Å
α = 90.00°, β = 90.00°, γ = 90.00°
Space group P4/mmm (No. 123)
Unique sites:
Sr 0.0000 0.0000 0.0000 x1
Y 0.5000 0.5000 0.0000 x1
Bi 0.0000 0.5000 0.5000 x2
N 0.5000 0.5000 0.5000 x1